Starting from a structure optimized by DFT (PBE), the powder diffractogram of PaMn9Os2 was simulated for Cu Kα, 1.54184 Å.
Neutral-atom scattering factors, no anomalous dispersion.

Cell and atoms:
Lattice parameters (Å, degrees): 8.178 8.178 4.657 90.00 90.00 90.00
Atoms (fractional coordinates):
Pa 0.000 0.000 0.000
Pa 0.500 0.500 0.000
Mn 0.000 0.500 0.500
Mn 0.064 0.218 0.500
Mn 0.178 0.678 0.233
Mn 0.178 0.678 0.767
Mn 0.218 0.936 0.500
Mn 0.282 0.436 0.500
Mn 0.322 0.178 0.233
Mn 0.322 0.178 0.767
Mn 0.436 0.718 0.500
Mn 0.500 0.000 0.500
Mn 0.564 0.282 0.500
Mn 0.678 0.822 0.233
Mn 0.678 0.822 0.767
Mn 0.718 0.564 0.500
Mn 0.782 0.064 0.500
Mn 0.822 0.322 0.233
Mn 0.822 0.322 0.767
Mn 0.936 0.782 0.500
Os 0.119 0.381 0.000
Os 0.381 0.881 0.000
Os 0.619 0.119 0.000
Os 0.881 0.619 0.000

Largest 8 diffraction maxima, by angle, 10 to 90 degrees two-theta:
- (0 0 1), 19.06 deg, d = 4.657 Å, rel. 33
- (3 1 0), 34.69 deg, d = 2.586 Å, rel. 41
- (2 2 1), 36.58 deg, d = 2.456 Å, rel. 25
- (0 0 2), 38.67 deg, d = 2.329 Å, rel. 23
- (3 1 1), 39.87 deg, d = 2.261 Å, rel. 100
- (3 2 1), 44.43 deg, d = 2.039 Å, rel. 45
- (2 0 2), 44.79 deg, d = 2.023 Å, rel. 24
- (2 1 2), 46.22 deg, d = 1.964 Å, rel. 54